No. 1
This entry pairs a crystal structure of CeBe2Ir2 with its simulated XRD peak list. Radiation: λ = 1.5418 Å (Cu Kα). Structure: a GGA-PBE-relaxed structure.
Lines closer than 0.1° are merged.

```
data_CeBe2Ir2
_symmetry_space_group_name_H-M 'P 4/n m m'
_symmetry_Int_Tables_number 129
_cell_length_a 4.039
_cell_length_b 4.039
_cell_length_c 9.332
_cell_angle_alpha 90.00
_cell_angle_beta 90.00
_cell_angle_gamma 90.00
loop_
_symmetry_equiv_pos_as_xyz
'x,y,z'
'-x,-y,-z'
'-y+1/2,x,z'
'y+1/2,-x,-z'
'-x+1/2,-y+1/2,z'
'x+1/2,y+1/2,-z'
'y,-x+1/2,z'
'-y,x+1/2,-z'
'x+1/2,-y,-z'
'-x+1/2,y,z'
'-y,-x,-z'
'y,x,z'
'-x,y+1/2,-z'
'x,-y+1/2,z'
'y+1/2,x+1/2,-z'
'-y+1/2,-x+1/2,z'
loop_
_atom_site_label
_atom_site_type_symbol
_atom_site_fract_x
_atom_site_fract_y
_atom_site_fract_z
Ce1 Ce 0.250 0.250 0.242
Be1 Be 0.250 0.250 0.879
Be2 Be 0.250 0.750 0.500
Ir1 Ir 0.250 0.250 0.625
Ir2 Ir 0.250 0.750 0.000
```

Top 10 peaks for 2θ = 10–80°, low angle first:
- d = 3.111 Å, rel. 32
- d = 3.054 Å, rel. 56
- d = 2.731 Å, rel. 100
- d = 2.465 Å, rel. 62
- d = 2.436 Å, rel. 88
- d = 2.020 Å, rel. 64
- d = 1.694 Å, rel. 42
- d = 1.562 Å, rel. 31
- d = 1.428 Å, rel. 21
- d = 1.298 Å, rel. 26

No. 2
This entry pairs a crystal structure of CeBeSi2Ir with its simulated XRD peak list. Radiation: λ = 1.5418 Å (Cu Kα). Structure: a GGA-PBE-relaxed structure.
Lines closer than 0.1° are merged.

```
data_CeBeSi2Ir
_symmetry_space_group_name_H-M 'I -4 m 2'
_symmetry_Int_Tables_number 119
_symmetry_space_group_name_Hall 'I -4 -2'
_cell_length_a 3.979
_cell_length_b 3.979
_cell_length_c 10.198
_cell_angle_alpha 90.00
_cell_angle_beta 90.00
_cell_angle_gamma 90.00
loop_
_atom_site_label
_atom_site_type_symbol
_atom_site_fract_x
_atom_site_fract_y
_atom_site_fract_z
Ce1 Ce 0.000 0.000 0.000
Be1 Be 0.000 0.500 0.750
Si1 Si 0.000 0.000 0.381
Ir1 Ir 0.000 0.500 0.250
```

Top 10 peaks for 2θ = 10–80°, low angle first:
- d = 3.707 Å, rel. 100
- d = 2.585 Å, rel. 59
- d = 2.550 Å, rel. 17
- d = 2.463 Å, rel. 93
- d = 1.989 Å, rel. 33
- d = 1.815 Å, rel. 22
- d = 1.753 Å, rel. 26
- d = 1.576 Å, rel. 27
- d = 1.455 Å, rel. 16
- d = 1.222 Å, rel. 21

No. 3
This entry pairs a crystal structure of LaCeBe26 with its simulated XRD peak list. Radiation: λ = 1.5418 Å (Cu Kα). Structure: a GGA-PBE-relaxed structure.
Lines closer than 0.1° are merged.

```
data_LaCeBe26
_symmetry_space_group_name_H-M 'F 4 3 2'
_symmetry_Int_Tables_number 209
_symmetry_space_group_name_Hall 'F 4 2 3'
_cell_length_a 10.321
_cell_length_b 10.321
_cell_length_c 10.321
_cell_angle_alpha 90.00
_cell_angle_beta 90.00
_cell_angle_gamma 90.00
loop_
_atom_site_label
_atom_site_type_symbol
_atom_site_fract_x
_atom_site_fract_y
_atom_site_fract_z
La1 La 0.000 0.000 0.000
Ce1 Ce 0.000 0.000 0.500
Be1 Be 0.075 0.137 0.748
Be2 Be 0.250 0.250 0.250
```

Top 10 peaks for 2θ = 10–80°, low angle first:
- d = 5.161 Å, rel. 86
- d = 3.649 Å, rel. 100
- d = 2.980 Å, rel. 45
- d = 2.580 Å, rel. 22
- d = 2.308 Å, rel. 73
- d = 2.107 Å, rel. 62
- d = 1.720 Å, rel. 21
- d = 1.632 Å, rel. 26
- d = 1.379 Å, rel. 28
- d = 1.252 Å, rel. 20